[1]
Calculated powder diffraction line list
Compound: UV4Se8
Radiation: copper Kα
Structure: a DFT-relaxed cell (GGA-PBE, Alexandria)

Principal peaks in the range 5 to 70 degrees two-theta, by angle:
d_spacing	2theta	I_rel
6.054	14.63	29
5.299	16.73	26
3.809	23.35	12
3.186	28.00	14
2.650	33.83	100
1.905	47.75	35
1.844	49.43	34
1.513	61.24	17

Structure:
```
UV4Se8
1.0
3.6878 2.1292 6.3277
-3.6878 2.1292 6.3277
0.0000 -4.2583 6.3277
U V Se
1 4 8
direct
0.0000 0.0000 0.0000
0.0000 0.0000 0.5000
0.0000 0.5000 0.0000
0.5000 0.0000 0.0000
0.5000 0.5000 0.5000
0.2405 0.2405 0.2405
0.2529 0.7388 0.7388
0.2612 0.2612 0.7471
0.2612 0.7471 0.2612
0.7388 0.2529 0.7388
0.7388 0.7388 0.2529
0.7471 0.2612 0.2612
0.7595 0.7595 0.7595
```


[2]
Calculated powder diffraction line list
Compound: Y2U2Se7
Radiation: copper Kα
Structure: a DFT-relaxed cell (GGA-PBE, Alexandria)

Principal peaks in the range 5 to 70 degrees two-theta, by angle:
d_spacing	2theta	I_rel
7.440	11.89	32
3.835	23.19	42
3.678	24.20	31
3.297	27.04	29
2.615	34.29	100
2.283	39.47	50
2.169	41.63	28
2.017	44.95	41

Structure:
```
Y2U2Se7
1.0
-2.0171 7.4402 4.4758
2.0171 -7.4402 4.4758
2.0171 7.4402 -4.4758
Y U Se
2 2 7
direct
0.2412 0.0000 0.2412
0.7588 0.0000 0.7588
0.2382 0.2382 0.0000
0.6902 0.1902 0.5000
0.0550 0.6886 0.3664
0.3222 0.6886 0.6336
0.4091 0.5169 0.8922
0.6172 0.2998 0.3174
0.6247 0.5169 0.1078
0.9198 0.9198 0.0000
0.9824 0.2998 0.6826
```